1.
Diffraction record for PmGeAu4. The powder diffractogram is computed, not measured: it uses DFT lattice parameters and positions (GGA-PBE) and a wavelength of 1.5418 Å.
Peak positions follow from Bragg's law for the DFT cell and can differ from measured ones.

Principal peaks in the range 5° ≤ 2θ ≤ 70°, by intensity:
2θ (°)  I/Imax  (hkl)
30.9  100.0  1 1 2
36.6  96.2  1 5 0
35.2  78.1  2 0 0
35.6  76.3  0 4 2
50.9  55.5  2 4 2
41.7  31.5  1 1 3
45.8  22.9  1 3 3
68.1  19.3  1 9 2
64.1  19.2  3 5 0
60.5  15.2  3 1 2

Cell lengths 5.097, 13.995, 7.278 Å; angles 90.00, 90.00, 90.00 degrees
Space group Cmcm (No. 63)
Asymmetric unit:
Pm 0.000 0.119 0.250
Ge 0.000 0.366 0.250
Au 0.000 0.093 0.750
Au 0.000 0.287 0.564
Au 0.000 0.500 0.000

2.
Diffraction record for PmZn2GeAu. The powder diffractogram is computed, not measured: it uses DFT lattice parameters and positions (GGA-PBE) and a wavelength of 1.5418 Å.
Peak positions follow from Bragg's law for the DFT cell and can differ from measured ones.

Principal peaks in the range 5° ≤ 2θ ≤ 70°, by intensity:
2θ (°)  I/Imax  (hkl)
34.2  100.0  1 1 2
32.4  37.4  1 0 3
42.7  21.9  0 2 0
43.0  21.4  2 0 0
46.7  20.6  0 1 5
44.9  16.3  1 1 4
62.2  14.1  2 2 0
54.8  13.6  0 2 4
22.5  12.8  0 1 1
59.3  12.2  1 1 6

Cell lengths 4.208, 4.234, 10.967 Å; angles 90.00, 90.00, 90.00 degrees
Space group Imm2 (No. 44)
Asymmetric unit:
Pm 0.000 0.000 0.000
Zn 0.000 0.000 0.382
Zn 0.000 0.500 0.248
Ge 0.000 0.000 0.603
Au 0.000 0.500 0.746

3.
Diffraction record for PrGeAu. The powder diffractogram is computed, not measured: it uses DFT lattice parameters and positions (GGA-PBE) and a wavelength of 1.5418 Å.
Peak positions follow from Bragg's law for the DFT cell and can differ from measured ones.

Principal peaks in the range 5° ≤ 2θ ≤ 70°, by intensity:
2θ (°)  I/Imax  (hkl)
32.1  100.0  1 0 2
39.9  64.5  1 1 0
25.4  29.5  1 0 1
62.3  28.1  1 1 4
52.1  25.7  2 0 2
67.6  23.5  2 1 2
41.2  14.3  1 0 3
45.8  11.7  0 0 4
22.4  7.8  0 0 2
46.2  7.4  1 1 2

Cell lengths 4.5200, 4.5200, 7.9297 Å; angles 90.00, 90.00, 120.00 degrees
Space group P6_3mc (No. 186)
Asymmetric unit:
Pr 0.0000 0.0000 0.0000
Ge 0.3333 0.6667 0.2179
Au 0.3333 0.6667 0.7685

4.
Diffraction record for PrGe2Au6. The powder diffractogram is computed, not measured: it uses DFT lattice parameters and positions (GGA-PBE) and a wavelength of 1.5418 Å.
Peak positions follow from Bragg's law for the DFT cell and can differ from measured ones.

Principal peaks in the range 5° ≤ 2θ ≤ 70°, by intensity:
2θ (°)  I/Imax  (hkl)
34.7  100.0  1 1 2
40.1  49.5  2 0 0
41.8  30.5  1 1 3
10.0  29.5  0 0 1
69.3  27.6  3 1 2
57.9  16.9  2 2 0
58.5  12.4  2 0 4
67.3  10.1  2 0 5
40.8  8.8  0 0 4
51.7  5.5  0 0 5

Cell lengths 4.502, 4.502, 8.839 Å; angles 90.00, 90.00, 90.00 degrees
Space group P4/mmm (No. 123)
Asymmetric unit:
Pr 0.000 0.000 0.000
Ge 0.500 0.500 0.140
Au 0.000 0.000 0.500
Au 0.000 0.500 0.285
Au 0.500 0.500 0.500